No. 1
# Ta3VB4
Computed powder diffraction line list, Cu Kα (λ = 1.5418 Å). Input: DFT lattice parameters and positions (GGA-PBE).

Crystal structure
```
data_Ta3VB4
_space_group_name_H-M_alt 'P 1'
_space_group_IT_number 1
_space_group_name_Hall 'P 1'
_cell_length_a 6.7440
_cell_length_b 6.7440
_cell_length_c 6.7440
_cell_angle_alpha 152.00
_cell_angle_beta 139.20
_cell_angle_gamma 50.22
loop_
_atom_site_label
_atom_site_type_symbol
_atom_site_fract_x
_atom_site_fract_y
_atom_site_fract_z
_atom_site_occupancy
Ta1 Ta 0.0000 0.0000 0.0000 1
Ta2 Ta 0.3057 0.8057 0.5000 1
Ta3 Ta 0.6943 0.1943 0.5000 1
V1 V 0.5000 0.5000 0.0000 1
B1 B 0.0538 0.3706 0.6832 1
B2 B 0.3126 0.6294 0.6832 1
B3 B 0.6874 0.3706 0.3168 1
B4 B 0.9462 0.6294 0.3168 1
```

Principal peaks in the range 2θ = 5–70°, in order of falling intensity:
- 2θ 36.61, I 100
- 2θ 29.01, I 66
- 2θ 38.29, I 28
- 2θ 46.43, I 25
- 2θ 61.70, I 20
- 2θ 28.31, I 20
- 2θ 68.12, I 16
- 2θ 64.65, I 14

=====

No. 2
# K3LaCl6
Computed powder diffraction line list, Cu Kα (λ = 1.5418 Å). Input: DFT lattice parameters and positions (GGA-PBE).

Crystal structure
```
data_K3LaCl6
_space_group_name_H-M_alt 'P 1'
_space_group_IT_number 1
_space_group_name_Hall 'P 1'
_cell_length_a 7.6666
_cell_length_b 8.1079
_cell_length_c 13.2349
_cell_angle_alpha 90.00
_cell_angle_beta 123.80
_cell_angle_gamma 90.00
loop_
_atom_site_label
_atom_site_type_symbol
_atom_site_fract_x
_atom_site_fract_y
_atom_site_fract_z
_atom_site_occupancy
K1 K 0.0000 0.0000 0.0000 1
K2 K 0.0000 0.5000 0.5000 1
K3 K 0.2113 0.0719 0.7403 1
K4 K 0.2113 0.4281 0.2403 1
K5 K 0.7887 0.5719 0.7597 1
K6 K 0.7887 0.9281 0.2597 1
La1 La 0.5000 0.0000 0.5000 1
La2 La 0.5000 0.5000 0.0000 1
Cl1 Cl 0.1471 0.1842 0.4380 1
Cl2 Cl 0.1471 0.3158 0.9380 1
Cl3 Cl 0.2421 0.7186 0.4168 1
Cl4 Cl 0.2421 0.7814 0.9168 1
Cl5 Cl 0.4062 0.0663 0.2670 1
Cl6 Cl 0.4062 0.4337 0.7670 1
Cl7 Cl 0.5938 0.5663 0.2330 1
Cl8 Cl 0.5938 0.9337 0.7330 1
Cl9 Cl 0.7579 0.2186 0.0832 1
Cl10 Cl 0.7579 0.2814 0.5832 1
Cl11 Cl 0.8529 0.6842 0.0620 1
Cl12 Cl 0.8529 0.8158 0.5620 1
```

Principal peaks in the range 2θ = 5–70°, in order of falling intensity:
- 2θ 13.57, I 100
- 2θ 15.91, I 86
- 2θ 22.49, I 86
- 2θ 22.95, I 81
- 2θ 32.14, I 76
- 2θ 40.91, I 59
- 2θ 40.08, I 49
- 2θ 14.27, I 48

=====

No. 3
# AcLaAu
Computed powder diffraction line list, Cu Kα (λ = 1.5418 Å). Input: DFT lattice parameters and positions (GGA-PBE).

Crystal structure
```
data_AcLaAu
_space_group_name_H-M_alt 'P 1'
_space_group_IT_number 1
_space_group_name_Hall 'P 1'
_cell_length_a 7.1934
_cell_length_b 7.1934
_cell_length_c 7.7223
_cell_angle_alpha 106.02
_cell_angle_beta 106.02
_cell_angle_gamma 31.29
loop_
_atom_site_label
_atom_site_type_symbol
_atom_site_fract_x
_atom_site_fract_y
_atom_site_fract_z
_atom_site_occupancy
Ac1 Ac 0.1463 0.1463 0.0802 1
Ac2 Ac 0.8537 0.8537 0.9198 1
La1 La 0.1336 0.1336 0.5621 1
La2 La 0.8664 0.8664 0.4379 1
Au1 Au 0.4918 0.4918 0.2488 1
Au2 Au 0.5082 0.5082 0.7512 1
```

Principal peaks in the range 2θ = 5–70°, in order of falling intensity:
- 2θ 30.63, I 100
- 2θ 32.72, I 66
- 2θ 30.86, I 33
- 2θ 57.03, I 23
- 2θ 41.17, I 15
- 2θ 13.34, I 13
- 2θ 46.83, I 12
- 2θ 47.07, I 12

=====

No. 4
# Tb6Au2N
Computed powder diffraction line list, Cu Kα (λ = 1.5418 Å). Input: DFT lattice parameters and positions (GGA-PBE).

Crystal structure
```
data_Tb6Au2N
_space_group_name_H-M_alt 'P 1'
_space_group_IT_number 1
_space_group_name_Hall 'P 1'
_cell_length_a 6.6623
_cell_length_b 7.0001
_cell_length_c 11.7124
_cell_angle_alpha 90.00
_cell_angle_beta 124.10
_cell_angle_gamma 90.00
loop_
_atom_site_label
_atom_site_type_symbol
_atom_site_fract_x
_atom_site_fract_y
_atom_site_fract_z
_atom_site_occupancy
Tb1 Tb 0.1371 0.0215 0.2419 1
Tb2 Tb 0.1371 0.4785 0.7419 1
Tb3 Tb 0.2449 0.7116 0.0517 1
Tb4 Tb 0.2449 0.7884 0.5517 1
Tb5 Tb 0.3444 0.1977 0.0523 1
Tb6 Tb 0.3444 0.3023 0.5523 1
Tb7 Tb 0.6556 0.6977 0.4477 1
Tb8 Tb 0.6556 0.8023 0.9477 1
Tb9 Tb 0.7551 0.2116 0.4483 1
Tb10 Tb 0.7551 0.2884 0.9483 1
Tb11 Tb 0.8629 0.5215 0.2581 1
Tb12 Tb 0.8629 0.9785 0.7581 1
Au1 Au 0.2826 0.0695 0.7504 1
Au2 Au 0.2826 0.4305 0.2504 1
Au3 Au 0.7174 0.5695 0.7496 1
Au4 Au 0.7174 0.9305 0.2496 1
N1 N 0.0000 0.0000 0.0000 1
N2 N 0.0000 0.5000 0.5000 1
```

Principal peaks in the range 2θ = 5–70°, in order of falling intensity:
- 2θ 31.52, I 100
- 2θ 37.26, I 39
- 2θ 32.46, I 34
- 2θ 32.77, I 34
- 2θ 37.08, I 27
- 2θ 42.07, I 27
- 2θ 31.21, I 26
- 2θ 31.05, I 24

=====

No. 5
# LiZnIn2Se4
Computed powder diffraction line list, Cu Kα (λ = 1.5418 Å). Input: DFT lattice parameters and positions (GGA-PBE).

Crystal structure
```
data_LiZnIn2Se4
_space_group_name_H-M_alt 'P 1'
_space_group_IT_number 1
_space_group_name_Hall 'P 1'
_cell_length_a 7.2954
_cell_length_b 7.1145
_cell_length_c 6.2780
_cell_angle_alpha 65.67
_cell_angle_beta 62.70
_cell_angle_gamma 51.64
loop_
_atom_site_label
_atom_site_type_symbol
_atom_site_fract_x
_atom_site_fract_y
_atom_site_fract_z
_atom_site_occupancy
Li1 Li 0.0000 0.0000 0.0000 1
Zn1 Zn 0.4974 0.4974 0.5026 1
In1 In 0.2520 0.2520 0.2480 1
In2 In 0.7520 0.7520 0.7480 1
Se1 Se 0.1337 0.6218 0.8663 1
Se2 Se 0.3661 0.8458 0.1542 1
Se3 Se 0.6218 0.1337 0.3782 1
Se4 Se 0.8458 0.3661 0.6339 1
```

Principal peaks in the range 2θ = 5–70°, in order of falling intensity:
- 2θ 26.04, I 100
- 2θ 24.97, I 88
- 2θ 43.01, I 87
- 2θ 47.76, I 37
- 2θ 39.31, I 32
- 2θ 49.60, I 26
- 2θ 42.13, I 24
- 2θ 32.65, I 20

=====

No. 6
# Li2SiSnSe4
Computed powder diffraction line list, Cu Kα (λ = 1.5418 Å). Input: DFT lattice parameters and positions (GGA-PBE).

Crystal structure
```
data_Li2SiSnSe4
_space_group_name_H-M_alt 'P 1'
_space_group_IT_number 1
_space_group_name_Hall 'P 1'
_cell_length_a 7.1896
_cell_length_b 6.6640
_cell_length_c 6.1793
_cell_angle_alpha 67.96
_cell_angle_beta 59.22
_cell_angle_gamma 52.81
loop_
_atom_site_label
_atom_site_type_symbol
_atom_site_fract_x
_atom_site_fract_y
_atom_site_fract_z
_atom_site_occupancy
Li1 Li 0.0000 0.0000 0.5000 1
Li2 Li 0.5000 0.5000 0.0000 1
Si1 Si 0.2379 0.2379 0.7621 1
Sn1 Sn 0.7799 0.7799 0.2201 1
Se1 Se 0.1519 0.5534 0.4466 1
Se2 Se 0.3357 0.8710 0.6643 1
Se3 Se 0.5534 0.1519 0.8481 1
Se4 Se 0.8710 0.3357 0.1290 1
```

Principal peaks in the range 2θ = 5–70°, in order of falling intensity:
- 2θ 28.11, I 100
- 2θ 24.95, I 49
- 2θ 45.04, I 44
- 2θ 31.48, I 39
- 2θ 47.71, I 27
- 2θ 18.61, I 22
- 2θ 16.47, I 20
- 2θ 39.58, I 19

=====

No. 7
# Ce6HPb3
Computed powder diffraction line list, Cu Kα (λ = 1.5418 Å). Input: DFT lattice parameters and positions (GGA-PBE).

Crystal structure
```
data_Ce6HPb3
_space_group_name_H-M_alt 'P 1'
_space_group_IT_number 1
_space_group_name_Hall 'P 1'
_cell_length_a 10.6647
_cell_length_b 10.6647
_cell_length_c 4.7598
_cell_angle_alpha 90.00
_cell_angle_beta 90.00
_cell_angle_gamma 101.44
loop_
_atom_site_label
_atom_site_type_symbol
_atom_site_fract_x
_atom_site_fract_y
_atom_site_fract_z
_atom_site_occupancy
Ce1 Ce 0.0641 0.9359 0.7500 1
Ce2 Ce 0.0734 0.5743 0.7500 1
Ce3 Ce 0.2501 0.7499 0.2500 1
Ce4 Ce 0.2699 0.3999 0.2500 1
Ce5 Ce 0.3999 0.2699 0.7500 1
Ce6 Ce 0.4257 0.9266 0.7500 1
Ce7 Ce 0.5743 0.0734 0.2500 1
Ce8 Ce 0.6001 0.7301 0.2500 1
Ce9 Ce 0.7301 0.6001 0.7500 1
Ce10 Ce 0.7499 0.2501 0.7500 1
Ce11 Ce 0.9266 0.4257 0.2500 1
Ce12 Ce 0.9359 0.0641 0.2500 1
H1 H 0.2072 0.7928 0.7500 1
H2 H 0.7928 0.2072 0.2500 1
Pb1 Pb 0.0669 0.2652 0.7500 1
Pb2 Pb 0.2652 0.0669 0.2500 1
Pb3 Pb 0.3973 0.6027 0.7500 1
Pb4 Pb 0.6027 0.3973 0.2500 1
Pb5 Pb 0.7348 0.9331 0.7500 1
Pb6 Pb 0.9331 0.7348 0.2500 1
```

Principal peaks in the range 2θ = 5–70°, in order of falling intensity:
- 2θ 31.83, I 100
- 2θ 37.79, I 24
- 2θ 32.54, I 18
- 2θ 56.25, I 15
- 2θ 40.06, I 14
- 2θ 64.54, I 13
- 2θ 67.65, I 11
- 2θ 50.72, I 11

=====

No. 8
# NaGa2Au10
Computed powder diffraction line list, Cu Kα (λ = 1.5418 Å). Input: DFT lattice parameters and positions (GGA-PBE).

Crystal structure
```
data_NaGa2Au10
_space_group_name_H-M_alt 'P 1'
_space_group_IT_number 1
_space_group_name_Hall 'P 1'
_cell_length_a 9.5435
_cell_length_b 7.7312
_cell_length_c 6.8532
_cell_angle_alpha 81.50
_cell_angle_beta 53.24
_cell_angle_gamma 45.25
loop_
_atom_site_label
_atom_site_type_symbol
_atom_site_fract_x
_atom_site_fract_y
_atom_site_fract_z
_atom_site_occupancy
Na1 Na 0.0000 0.0000 0.0000 1
Ga1 Ga 0.0000 0.5000 0.0000 1
Ga2 Ga 0.5000 0.0000 0.5000 1
Au1 Au 0.0000 0.0000 0.5000 1
Au2 Au 0.0072 0.3224 0.6776 1
Au3 Au 0.2619 0.4907 0.5093 1
Au4 Au 0.3224 0.0072 0.9928 1
Au5 Au 0.4907 0.2619 0.7381 1
Au6 Au 0.5000 0.5000 0.0000 1
Au7 Au 0.5093 0.7381 0.2619 1
Au8 Au 0.6776 0.9928 0.0072 1
Au9 Au 0.7381 0.5093 0.4907 1
Au10 Au 0.9928 0.6776 0.3224 1
```

Principal peaks in the range 2θ = 5–70°, in order of falling intensity:
- 2θ 38.10, I 100
- 2θ 40.83, I 95
- 2θ 43.39, I 95
- 2θ 37.38, I 62
- 2θ 35.76, I 39
- 2θ 14.16, I 37
- 2θ 31.99, I 34
- 2θ 18.78, I 29

=====

No. 9
# Hg3As
Computed powder diffraction line list, Cu Kα (λ = 1.5418 Å). Input: DFT lattice parameters and positions (GGA-PBE).

Crystal structure
```
data_Hg3As
_space_group_name_H-M_alt 'P 1'
_space_group_IT_number 1
_space_group_name_Hall 'P 1'
_cell_length_a 9.3158
_cell_length_b 9.3158
_cell_length_c 3.8013
_cell_angle_alpha 90.00
_cell_angle_beta 90.00
_cell_angle_gamma 137.08
loop_
_atom_site_label
_atom_site_type_symbol
_atom_site_fract_x
_atom_site_fract_y
_atom_site_fract_z
_atom_site_occupancy
Hg1 Hg 0.0560 0.4225 0.7500 1
Hg2 Hg 0.0688 0.9312 0.7500 1
Hg3 Hg 0.4225 0.0560 0.2500 1
Hg4 Hg 0.5775 0.9440 0.7500 1
Hg5 Hg 0.9312 0.0688 0.2500 1
Hg6 Hg 0.9440 0.5775 0.2500 1
As1 As 0.4549 0.5451 0.7500 1
As2 As 0.5451 0.4549 0.2500 1
```

Principal peaks in the range 2θ = 5–70°, in order of falling intensity:
- 2θ 28.13, I 100
- 2θ 31.30, I 99
- 2θ 36.91, I 77
- 2θ 31.07, I 49
- 2θ 40.94, I 45
- 2θ 41.67, I 33
- 2θ 13.96, I 31
- 2θ 47.86, I 30

=====

No. 10
# Na2AsS4
Computed powder diffraction line list, Cu Kα (λ = 1.5418 Å). Input: DFT lattice parameters and positions (GGA-PBE).

Crystal structure
```
data_Na2AsS4
_space_group_name_H-M_alt 'P 1'
_space_group_IT_number 1
_space_group_name_Hall 'P 1'
_cell_length_a 9.2494
_cell_length_b 9.2494
_cell_length_c 9.5853
_cell_angle_alpha 90.00
_cell_angle_beta 90.00
_cell_angle_gamma 97.71
loop_
_atom_site_label
_atom_site_type_symbol
_atom_site_fract_x
_atom_site_fract_y
_atom_site_fract_z
_atom_site_occupancy
Na1 Na 0.0730 0.5730 0.2500 1
Na2 Na 0.1109 0.8891 0.7500 1
Na3 Na 0.3891 0.6109 0.7500 1
Na4 Na 0.4270 0.9270 0.2500 1
Na5 Na 0.5730 0.0730 0.7500 1
Na6 Na 0.6109 0.3891 0.2500 1
Na7 Na 0.8891 0.1109 0.2500 1
Na8 Na 0.9270 0.4270 0.7500 1
As1 As 0.2500 0.2500 0.2425 1
As2 As 0.2500 0.2500 0.7425 1
As3 As 0.7500 0.7500 0.2575 1
As4 As 0.7500 0.7500 0.7575 1
S1 S 0.0220 0.8642 0.1718 1
S2 S 0.0742 0.3107 0.1083 1
S3 S 0.1358 0.9780 0.3282 1
S4 S 0.1893 0.4258 0.6083 1
S5 S 0.3107 0.0742 0.6083 1
S6 S 0.3642 0.5220 0.3282 1
S7 S 0.4258 0.1893 0.1083 1
S8 S 0.4780 0.6358 0.1718 1
S9 S 0.5220 0.3642 0.8282 1
S10 S 0.5742 0.8107 0.8917 1
S11 S 0.6358 0.4780 0.6718 1
S12 S 0.6893 0.9258 0.3917 1
S13 S 0.8107 0.5742 0.3917 1
S14 S 0.8642 0.0220 0.6718 1
S15 S 0.9258 0.6893 0.8917 1
S16 S 0.9780 0.1358 0.8282 1
```

Principal peaks in the range 2θ = 5–70°, in order of falling intensity:
- 2θ 12.71, I 100
- 2θ 18.51, I 92
- 2θ 35.10, I 59
- 2θ 29.55, I 46
- 2θ 21.49, I 33
- 2θ 14.56, I 31
- 2θ 22.52, I 31
- 2θ 45.95, I 31

=====

No. 11
# Ho10Sb3Pb3
Computed powder diffraction line list, Cu Kα (λ = 1.5418 Å). Input: DFT lattice parameters and positions (GGA-PBE).

Crystal structure
```
data_Ho10Sb3Pb3
_space_group_name_H-M_alt 'P 1'
_space_group_IT_number 1
_space_group_name_Hall 'P 1'
_cell_length_a 8.9832
_cell_length_b 8.9832
_cell_length_c 6.4274
_cell_angle_alpha 90.00
_cell_angle_beta 90.00
_cell_angle_gamma 120.00
loop_
_atom_site_label
_atom_site_type_symbol
_atom_site_fract_x
_atom_site_fract_y
_atom_site_fract_z
_atom_site_occupancy
Ho1 Ho 0.0000 0.2414 0.0000 1
Ho2 Ho 0.0000 0.7601 0.5000 1
Ho3 Ho 0.2399 0.2399 0.5000 1
Ho4 Ho 0.2414 0.0000 0.0000 1
Ho5 Ho 0.3333 0.6667 0.2468 1
Ho6 Ho 0.3333 0.6667 0.7532 1
Ho7 Ho 0.6667 0.3333 0.2468 1
Ho8 Ho 0.6667 0.3333 0.7532 1
Ho9 Ho 0.7586 0.7586 0.0000 1
Ho10 Ho 0.7601 0.0000 0.5000 1
Sb1 Sb 0.0000 0.6097 0.0000 1
Sb2 Sb 0.3903 0.3903 0.0000 1
Sb3 Sb 0.6097 0.0000 0.0000 1
Pb1 Pb 0.0000 0.3930 0.5000 1
Pb2 Pb 0.3930 0.0000 0.5000 1
Pb3 Pb 0.6070 0.6070 0.5000 1
```

Principal peaks in the range 2θ = 5–70°, in order of falling intensity:
- 2θ 33.51, I 100
- 2θ 34.31, I 76
- 2θ 34.59, I 42
- 2θ 30.40, I 29
- 2θ 52.87, I 28
- 2θ 27.76, I 19
- 2θ 66.80, I 19
- 2θ 49.52, I 19

=====

No. 12
# Ac2ScZn3Pt4
Computed powder diffraction line list, Cu Kα (λ = 1.5418 Å). Input: DFT lattice parameters and positions (GGA-PBE).

Crystal structure
```
data_Ac2ScZn3Pt4
_space_group_name_H-M_alt 'P 1'
_space_group_IT_number 1
_space_group_name_Hall 'P 1'
_cell_length_a 4.2808
_cell_length_b 4.2808
_cell_length_c 11.4921
_cell_angle_alpha 90.00
_cell_angle_beta 90.00
_cell_angle_gamma 90.00
loop_
_atom_site_label
_atom_site_type_symbol
_atom_site_fract_x
_atom_site_fract_y
_atom_site_fract_z
_atom_site_occupancy
Ac1 Ac 0.0000 0.5000 0.2338 1
Ac2 Ac 0.5000 0.0000 0.7662 1
Sc1 Sc 0.0000 0.0000 0.5000 1
Zn1 Zn 0.0000 0.5000 0.8751 1
Zn2 Zn 0.5000 0.0000 0.1249 1
Zn3 Zn 0.5000 0.5000 0.5000 1
Pt1 Pt 0.0000 0.0000 0.0000 1
Pt2 Pt 0.0000 0.5000 0.6472 1
Pt3 Pt 0.5000 0.0000 0.3528 1
Pt4 Pt 0.5000 0.5000 0.0000 1
```

Principal peaks in the range 2θ = 5–70°, in order of falling intensity:
- 2θ 33.46, I 100
- 2θ 42.22, I 53
- 2θ 31.34, I 48
- 2θ 44.75, I 32
- 2θ 63.21, I 23
- 2θ 53.51, I 22
- 2θ 7.69, I 21
- 2θ 61.24, I 18

=====

No. 13
# NaMgSc2Te4
Computed powder diffraction line list, Cu Kα (λ = 1.5418 Å). Input: DFT lattice parameters and positions (GGA-PBE).

Crystal structure
```
data_NaMgSc2Te4
_space_group_name_H-M_alt 'P 1'
_space_group_IT_number 1
_space_group_name_Hall 'P 1'
_cell_length_a 7.3888
_cell_length_b 7.3888
_cell_length_c 7.3888
_cell_angle_alpha 132.11
_cell_angle_beta 132.11
_cell_angle_gamma 70.06
loop_
_atom_site_label
_atom_site_type_symbol
_atom_site_fract_x
_atom_site_fract_y
_atom_site_fract_z
_atom_site_occupancy
Na1 Na 0.0000 0.0000 0.0000 1
Mg1 Mg 0.2500 0.7500 0.5000 1
Sc1 Sc 0.5000 0.5000 0.0000 1
Sc2 Sc 0.7500 0.2500 0.5000 1
Te1 Te 0.2583 0.2583 0.0000 1
Te2 Te 0.5025 0.0025 0.5000 1
Te3 Te 0.7417 0.7417 0.0000 1
Te4 Te 0.9975 0.4975 0.5000 1
```

Principal peaks in the range 2θ = 5–70°, in order of falling intensity:
- 2θ 29.79, I 100
- 2θ 25.65, I 89
- 2θ 42.44, I 73
- 2θ 29.53, I 50
- 2θ 52.71, I 38
- 2θ 42.64, I 37
- 2θ 50.42, I 29
- 2θ 69.62, I 15